No. 1
Theoretical powder diffractogram
Compound: ScGa5Ni
Radiation: λ = 1.5418 Å (Cu Kα)
Structure: DFT lattice parameters and positions (GGA-PBE)
Intensities are scaled so that the largest is 100.

Top 10 peaks for 15 to 90 degrees two-theta, sorted by position:
| two_theta | intensity | (hkl) |
| --- | --- | --- |
| 25.1 | 18 | 1 0 1 |
| 33.2 | 21 | 1 1 1 |
| 40.3 | 13 | 0 0 3 |
| 40.7 | 100 | 1 1 2 |
| 43.4 | 54 | 2 0 0 |
| 51.2 | 10 | 1 1 3 |
| 60.7 | 15 | 2 0 3 |
| 63.1 | 17 | 2 2 0 |
| 77.8 | 27 | 3 1 2 |
| 78.2 | 9 | 1 1 5 |

Atomic structure:
Unit cell a=4.1693 b=4.1693 c=6.7183 alpha=90.00 beta=90.00 gamma=90.00
Space group P4/mmm (No. 123)
Asymmetric unit:
1 Sc 0.0000 0.0000 0.0000 x1
2 Ga 0.0000 0.5000 0.3009 x4
3 Ga 0.5000 0.5000 0.0000 x1
4 Ni 0.0000 0.0000 0.5000 x1

=====

No. 2
Theoretical powder diffractogram
Compound: GaSiNi6
Radiation: λ = 1.5418 Å (Cu Kα)
Structure: DFT lattice parameters and positions (GGA-PBE)
Intensities are scaled so that the largest is 100.

Top 10 peaks for 15 to 90 degrees two-theta, sorted by position:
| two_theta | intensity | (hkl) |
| --- | --- | --- |
| 28.2 | 3 | 1 0 1 |
| 36.0 | 1 | 1 1 0 |
| 38.2 | 2 | 1 1 1 |
| 38.3 | 1 | 0 0 3 |
| 44.4 | 100 | 1 1 2 |
| 51.7 | 31 | 2 0 0 |
| 51.9 | 15 | 0 0 4 |
| 76.1 | 9 | 2 2 0 |
| 76.3 | 18 | 2 0 4 |
| 77.8 | 1 | 1 1 5 |

Atomic structure:
Unit cell a=3.5374 b=3.5374 c=7.0437 alpha=90.00 beta=90.00 gamma=90.00
Space group P4/mmm (No. 123)
Asymmetric unit:
1 Ga 0.0000 0.0000 0.0000 x1
2 Si 0.0000 0.0000 0.5000 x1
3 Ni 0.0000 0.5000 0.2589 x4
4 Ni 0.5000 0.5000 0.0000 x1
5 Ni 0.5000 0.5000 0.5000 x1

=====

No. 3
Theoretical powder diffractogram
Compound: Sm3Ga2Ni6
Radiation: λ = 1.5418 Å (Cu Kα)
Structure: DFT lattice parameters and positions (GGA-PBE)
Intensities are scaled so that the largest is 100.

Top 10 peaks for 15 to 90 degrees two-theta, sorted by position:
| two_theta | intensity | (hkl) |
| --- | --- | --- |
| 24.3 | 17 | 2 1 1 |
| 31.5 | 35 | 3 1 0 |
| 34.6 | 44 | 2 2 2 |
| 37.5 | 27 | 3 2 1 |
| 40.2 | 27 | 4 0 0 |
| 42.7 | 100 | 3 3 0 |
| 56.1 | 17 | 5 2 1 |
| 63.9 | 17 | 5 3 2 |
| 69.5 | 21 | 6 2 2 |
| 78.3 | 26 | 6 3 3 |

Atomic structure:
Unit cell a=8.9763 b=8.9763 c=8.9763 alpha=90.00 beta=90.00 gamma=90.00
Space group Im-3m (No. 229)
Asymmetric unit:
1 Sm 0.0000 0.0000 0.2892 x12
2 Ga 0.2500 0.2500 0.2500 x8
3 Ni 0.0000 0.3374 0.3374 x24

=====

No. 4
Theoretical powder diffractogram
Compound: SmGa2Ni
Radiation: λ = 1.5418 Å (Cu Kα)
Structure: DFT lattice parameters and positions (GGA-PBE)
Intensities are scaled so that the largest is 100.

Top 10 peaks for 15 to 90 degrees two-theta, sorted by position:
| two_theta | intensity | (hkl) |
| --- | --- | --- |
| 26.4 | 15 | 1 3 0 |
| 29.8 | 29 | 0 4 1 |
| 30.9 | 20 | 1 1 1 |
| 34.3 | 100 | 1 3 1 |
| 37.9 | 16 | 0 6 1 |
| 42.3 | 37 | 1 7 0 |
| 43.6 | 27 | 2 0 0 |
| 43.8 | 27 | 0 0 2 |
| 62.5 | 23 | 1 7 2 |
| 63.5 | 17 | 2 0 2 |

Atomic structure:
Unit cell a=4.1524 b=17.4242 c=4.1350 alpha=90.00 beta=90.00 gamma=90.00
Space group Cmmm (No. 65)
Asymmetric unit:
1 Sm 0.0000 0.1431 0.0000 x4
2 Ga 0.0000 0.0000 0.5000 x2
3 Ga 0.0000 0.2903 0.5000 x4
4 Ga 0.0000 0.5000 0.0000 x2
5 Ni 0.0000 0.4265 0.5000 x4

=====

No. 5
Theoretical powder diffractogram
Compound: Sm2GaNi2
Radiation: λ = 1.5418 Å (Cu Kα)
Structure: DFT lattice parameters and positions (GGA-PBE)
Intensities are scaled so that the largest is 100.

Top 10 peaks for 15 to 90 degrees two-theta, sorted by position:
| two_theta | intensity | (hkl) |
| --- | --- | --- |
| 26.6 | 41 | 1 1 0 |
| 34.1 | 100 | 1 1 2 |
| 36.0 | 37 | 0 1 3 |
| 38.2 | 30 | 1 0 3 |
| 39.7 | 27 | 0 2 2 |
| 41.0 | 48 | 1 2 1 |
| 42.2 | 32 | 2 0 0 |
| 56.6 | 20 | 2 1 3 |
| 59.3 | 16 | 2 2 2 |
| 69.2 | 29 | 1 2 5 |

Atomic structure:
Unit cell a=4.2792 b=5.3855 c=8.4571 alpha=90.00 beta=90.00 gamma=90.00
Space group Immm (No. 71)
Asymmetric unit:
1 Sm 0.0000 0.0000 0.2008 x4
2 Ga 0.0000 0.5000 0.0000 x2
3 Ni 0.0000 0.2638 0.5000 x4

=====

No. 6
Theoretical powder diffractogram
Compound: SmGaNi
Radiation: λ = 1.5418 Å (Cu Kα)
Structure: DFT lattice parameters and positions (GGA-PBE)
Intensities are scaled so that the largest is 100.

Top 10 peaks for 15 to 90 degrees two-theta, sorted by position:
| two_theta | intensity | (hkl) |
| --- | --- | --- |
| 23.6 | 19 | 0 1 1 |
| 34.0 | 51 | 1 1 2 |
| 34.9 | 100 | 2 1 1 |
| 35.0 | 37 | 2 0 2 |
| 38.2 | 16 | 1 0 3 |
| 40.4 | 20 | 3 0 1 |
| 41.4 | 36 | 0 2 0 |
| 41.7 | 43 | 0 1 3 |
| 55.3 | 20 | 2 2 2 |
| 67.6 | 22 | 3 1 4 |

Atomic structure:
Unit cell a=7.0197 b=4.3618 c=7.4936 alpha=90.00 beta=90.00 gamma=90.00
Space group Pnma (No. 62)
Asymmetric unit:
1 Sm 0.0203 0.2500 0.1991 x4
2 Ga 0.1793 0.2500 0.5792 x4
3 Ni 0.2061 0.7500 0.4095 x4